(1)
This entry pairs a crystal structure of K2Nb6AgP3O24 with its theoretical X-ray powder pattern. Radiation: a wavelength of 1.5418 Å. Structure: a crystal structure in the Materials Project, relaxed with GGA-PBE.

The 6 most intense peaks (10 to 90 degrees two-theta), in order of rising 2θ:
2θ (°)  I_rel  index
13.0  100  0 2 0
25.4  73  2 0 1
26.2  66  2 2 -2
26.3  31  0 4 0
28.6  49  3 1 -2
28.7  22  0 4 1

Atomic structure:
Cell lengths 10.5166, 13.5539, 8.6433 Å; angles 90.00, 114.26, 90.00 degrees
Space group C2 (No. 5)
One atom of each set of equivalent atoms:
K (0.1766, 0.0000, 0.2202) (multiplicity 4)
Nb (0.0931, 0.7120, 0.3514) (multiplicity 4)
Nb (0.1943, 0.4958, 0.1544) (multiplicity 4)
Nb (0.2453, 0.2533, 0.9615) (multiplicity 4)
Ag (0.0000, 0.1569, 0.5000) (multiplicity 2)
P (0.0000, 0.9236, 0.5000) (multiplicity 2)
P (0.1168, 0.2679, 0.2684) (multiplicity 4)
O (0.0000, 0.5000, 0.0000) (multiplicity 2)
O (0.0000, 0.6792, 0.5000) (multiplicity 2)
O (0.0402, 0.2531, 0.7681) (multiplicity 4)
O (0.0773, 0.7289, 0.8462) (multiplicity 4)
O (0.0808, 0.8621, 0.4208) (multiplicity 4)
O (0.1017, 0.9920, 0.6418) (multiplicity 4)
O (0.1446, 0.5852, 0.3121) (multiplicity 4)
O (0.1471, 0.2168, 0.1278) (multiplicity 4)
O (0.1500, 0.3782, 0.2829) (multiplicity 4)
O (0.1899, 0.7759, 0.2076) (multiplicity 4)
O (0.2029, 0.2146, 0.4396) (multiplicity 4)
O (0.2369, 0.1006, 0.9317) (multiplicity 4)
O (0.2408, 0.3917, 0.0223) (multiplicity 4)

(2)
This entry pairs a crystal structure of KNb4AgP2S20 with its theoretical X-ray powder pattern. Radiation: a wavelength of 1.5418 Å. Structure: a crystal structure in the Materials Project, relaxed with GGA-PBE.

The 6 most intense peaks (10 to 90 degrees two-theta), in order of rising 2θ:
2θ (°)  I_rel  index
12.0  74  0 1 0
12.6  100  1 0 0
13.9  64  0 1 -1
17.2  88  1 1 0
17.6  56  1 -1 0
24.1  50  0 2 0

Atomic structure:
Cell lengths 7.2438, 7.3953, 13.0841 Å; angles 89.58, 76.34, 88.65 degrees
Space group P1 (No. 1)
One atom of each set of equivalent atoms:
K (0.0000, 0.0000, 0.0000) (multiplicity 1)
Nb (0.4272, 0.4336, 0.6864) (multiplicity 1)
Nb (0.4278, 0.4330, 0.9773) (multiplicity 1)
Nb (0.4304, 0.5669, 0.1874) (multiplicity 1)
Nb (0.4315, 0.5670, 0.4756) (multiplicity 1)
Ag (0.9316, 0.0000, 0.5806) (multiplicity 1)
P (0.2213, 0.8878, 0.3580) (multiplicity 1)
P (0.6349, 0.1141, 0.8044) (multiplicity 1)
S (0.1488, 0.5834, 0.6310) (multiplicity 1)
S (0.1518, 0.5873, 0.1031) (multiplicity 1)
S (0.1740, 0.6084, 0.3644) (multiplicity 1)
S (0.1769, 0.3948, 0.8642) (multiplicity 1)
S (0.2066, 0.3298, 0.1479) (multiplicity 1)
S (0.2140, 0.3276, 0.5726) (multiplicity 1)
S (0.3034, 0.6425, 0.8483) (multiplicity 1)
S (0.3765, 0.9173, 0.2052) (multiplicity 1)
S (0.3841, 0.9153, 0.4659) (multiplicity 1)
S (0.4731, 0.0834, 0.6971) (multiplicity 1)
S (0.4837, 0.0816, 0.9585) (multiplicity 1)
S (0.5557, 0.3579, 0.3156) (multiplicity 1)
S (0.6451, 0.6718, 0.5899) (multiplicity 1)
S (0.6511, 0.6681, 0.0158) (multiplicity 1)
S (0.6808, 0.6068, 0.2981) (multiplicity 1)
S (0.6849, 0.3914, 0.7988) (multiplicity 1)
S (0.7063, 0.4114, 0.0620) (multiplicity 1)
S (0.7102, 0.4160, 0.5317) (multiplicity 1)
S (0.8724, 0.9557, 0.7735) (multiplicity 1)
S (0.9844, 0.0444, 0.3889) (multiplicity 1)